(1)
Starting from a structure optimized by DFT (PBE), the X-ray diffraction stick pattern of GeBi3O6 was computed for Cu Kα, 1.54184 Å.
Lines closer than 0.1° are merged.

Structural model:
```
data_GeBi3O6
_symmetry_space_group_name_H-M 'P 1 21/c 1'
_symmetry_Int_Tables_number 14
_cell_length_a 5.5533
_cell_length_b 6.5709
_cell_length_c 9.6344
_cell_angle_alpha 90.00
_cell_angle_beta 124.22
_cell_angle_gamma 90.00
loop_
_symmetry_equiv_pos_as_xyz
'x,y,z'
'-x,-y,-z'
'-x,y+1/2,-z+1/2'
'x,-y+1/2,z+1/2'
loop_
_atom_site_label
_atom_site_fract_x
_atom_site_fract_y
_atom_site_fract_z
Ge1 0.0000 0.0000 0.0000
Bi1 0.2612 0.0382 0.7703
Bi2 0.5000 0.0000 0.5000
O1 0.0501 0.2093 0.8841
O2 0.3083 0.6560 0.4878
O3 0.3192 0.1077 0.2128
```

Top 10 peaks for 15 to 90 degrees two-theta, by angle:
- d = 3.285 Å, intensity 59
- d = 2.923 Å, intensity 100
- d = 2.885 Å, intensity 92
- d = 2.776 Å, intensity 45
- d = 2.121 Å, intensity 43
- d = 1.819 Å, intensity 21
- d = 1.809 Å, intensity 24
- d = 1.703 Å, intensity 19
- d = 1.636 Å, intensity 22
- d = 1.616 Å, intensity 19


(2)
Starting from a structure optimized by DFT (PBE), the X-ray diffraction stick pattern of Ge3Bi2O9 was computed for Cu Kα, 1.54184 Å.
Lines closer than 0.1° are merged.

Structural model:
```
data_Ge3Bi2O9
_symmetry_space_group_name_H-M 'P 63/m'
_symmetry_Int_Tables_number 176
_symmetry_space_group_name_Hall '-P 6c'
_cell_length_a 7.0559
_cell_length_b 7.0559
_cell_length_c 10.1860
_cell_angle_alpha 90.00
_cell_angle_beta 90.00
_cell_angle_gamma 120.00
loop_
_atom_site_label
_atom_site_fract_x
_atom_site_fract_y
_atom_site_fract_z
Ge1 0.0690 0.7790 0.2500
Bi1 0.3333 0.6667 0.5209
O1 0.0619 0.7948 0.7500
O2 0.0707 0.6451 0.1050
```

Top 10 peaks for 15 to 90 degrees two-theta, by angle:
- d = 3.912 Å, intensity 75
- d = 3.528 Å, intensity 27
- d = 3.055 Å, intensity 19
- d = 2.900 Å, intensity 100
- d = 2.546 Å, intensity 15
- d = 2.310 Å, intensity 18
- d = 2.037 Å, intensity 18
- d = 1.891 Å, intensity 18
- d = 1.608 Å, intensity 16
- d = 1.529 Å, intensity 16


(3)
Starting from a structure optimized by DFT (PBE), the X-ray diffraction stick pattern of GeBiPbO5 was computed for Cu Kα, 1.54184 Å.
Lines closer than 0.1° are merged.

Structural model:
```
data_GeBiPbO5
_symmetry_space_group_name_H-M 'C 1 2/c 1'
_symmetry_Int_Tables_number 15
_cell_length_a 6.9930
_cell_length_b 9.8119
_cell_length_c 7.6157
_cell_angle_alpha 90.00
_cell_angle_beta 110.64
_cell_angle_gamma 90.00
loop_
_symmetry_equiv_pos_as_xyz
'x,y,z'
'-x,-y,-z'
'-x,y,-z+1/2'
'x,-y,z+1/2'
'x+1/2,y+1/2,z'
'-x+1/2,-y+1/2,-z'
'-x+1/2,y+1/2,-z+1/2'
'x+1/2,-y+1/2,z+1/2'
loop_
_atom_site_label
_atom_site_fract_x
_atom_site_fract_y
_atom_site_fract_z
Ge1 0.0000 0.1768 0.2500
Bi1 0.0000 0.1647 0.7500
Pb1 0.0000 0.5000 0.0000
O1 0.0000 0.3925 0.7500
O2 0.1378 0.2833 0.1426
O3 0.1504 0.0674 0.4340
```

Top 10 peaks for 15 to 90 degrees two-theta, by angle:
- d = 3.487 Å, intensity 86
- d = 3.272 Å, intensity 75
- d = 2.926 Å, intensity 100
- d = 2.883 Å, intensity 62
- d = 2.647 Å, intensity 31
- d = 2.555 Å, intensity 29
- d = 2.190 Å, intensity 28
- d = 1.815 Å, intensity 31
- d = 1.641 Å, intensity 22
- d = 1.636 Å, intensity 28


(4)
Starting from a structure optimized by DFT (PBE), the X-ray diffraction stick pattern of PmGeBi2O8 was computed for Cu Kα, 1.54184 Å.
Lines closer than 0.1° are merged.

Structural model:
```
data_PmGeBi2O8
_symmetry_space_group_name_H-M 'P -3 m 1'
_symmetry_Int_Tables_number 164
_symmetry_space_group_name_Hall '-P 3 2"'
_cell_length_a 5.0771
_cell_length_b 5.0771
_cell_length_c 7.1505
_cell_angle_alpha 90.00
_cell_angle_beta 90.00
_cell_angle_gamma 120.00
loop_
_atom_site_label
_atom_site_fract_x
_atom_site_fract_y
_atom_site_fract_z
Pm1 0.0000 0.0000 0.0000
Ge1 0.0000 0.0000 0.5000
Bi1 0.3333 0.6667 0.3150
O1 0.1589 0.3177 0.6796
O2 0.3333 0.6667 0.0320
```

Top 10 peaks for 15 to 90 degrees two-theta, by angle:
- d = 3.745 Å, intensity 100
- d = 2.774 Å, intensity 69
- d = 2.539 Å, intensity 67
- d = 2.383 Å, intensity 16
- d = 2.101 Å, intensity 37
- d = 1.873 Å, intensity 33
- d = 1.738 Å, intensity 23
- d = 1.656 Å, intensity 16
- d = 1.619 Å, intensity 20
- d = 1.507 Å, intensity 24


(5)
Starting from a structure optimized by DFT (PBE), the X-ray diffraction stick pattern of Tl2Ge2BiO6 was computed for Cu Kα, 1.54184 Å.
Lines closer than 0.1° are merged.

Structural model:
```
data_Tl2Ge2BiO6
_symmetry_space_group_name_H-M 'C 1 2/m 1'
_symmetry_Int_Tables_number 12
_cell_length_a 10.5743
_cell_length_b 6.1222
_cell_length_c 7.1138
_cell_angle_alpha 90.00
_cell_angle_beta 121.11
_cell_angle_gamma 90.00
loop_
_symmetry_equiv_pos_as_xyz
'x,y,z'
'-x,-y,-z'
'-x,y,-z'
'x,-y,z'
'x+1/2,y+1/2,z'
'-x+1/2,-y+1/2,-z'
'-x+1/2,y+1/2,-z'
'x+1/2,-y+1/2,z'
loop_
_atom_site_label
_atom_site_fract_x
_atom_site_fract_y
_atom_site_fract_z
Tl1 0.2081 0.0000 0.1681
Ge1 0.0527 0.5000 0.2118
Bi1 0.0000 0.0000 0.5000
O1 0.0299 0.2594 0.7614
O2 0.2455 0.5000 0.3457
```

Top 10 peaks for 15 to 90 degrees two-theta, by angle:
- d = 3.499 Å, intensity 17
- d = 3.438 Å, intensity 36
- d = 3.056 Å, intensity 100
- d = 3.026 Å, intensity 50
- d = 2.972 Å, intensity 20
- d = 2.304 Å, intensity 20
- d = 2.132 Å, intensity 19
- d = 1.767 Å, intensity 22
- d = 1.761 Å, intensity 16
- d = 1.674 Å, intensity 13